Diffraction record for AlCdInO4. The X-ray powder pattern is calculated, not measured: it uses a GGA-PBE-relaxed structure and Cu Kα X-rays.

Largest 8 diffraction maxima, low angle first, 2θ = 10–90°:
| h k l | 2theta | I (rel.) |
| --- | --- | --- |
| 1 1 1 | 22.60 | 20.1 |
| 2 0 0 | 28.40 | 23.9 |
| 1 1 2 | 29.15 | 44.5 |
| 2 1 1 | 33.59 | 100.0 |
| 1 0 3 | 34.89 | 52.4 |
| 3 1 2 | 50.75 | 19.0 |
| 3 2 1 | 53.68 | 31.9 |
| 2 2 4 | 60.44 | 34.7 |

Crystal structure
Unit cell a=6.286 b=6.286 c=8.455 alpha=90.00 beta=90.00 gamma=90.00
Space group P4_122 (No. 91)
One atom of each set of equivalent atoms:
Al 0.000 0.238 0.000 (multiplicity 4)
Cd 0.242 0.500 0.750 (multiplicity 4)
In 0.244 0.244 0.375 (multiplicity 4)
O 0.020 0.216 0.773 (multiplicity 8)
O 0.214 0.457 0.022 (multiplicity 8)

***

Diffraction record for NaFe3P5. The X-ray powder pattern is calculated, not measured: it uses a GGA-PBE-relaxed structure and Cu Kα X-rays.

Largest 8 diffraction maxima, low angle first, 2θ = 10–90°:
| h k l | 2theta | I (rel.) |
| --- | --- | --- |
| 0 0 1 | 11.92 | 100.0 |
| 1 0 0 | 21.22 | 9.6 |
| 1 0 1 | 24.41 | 9.0 |
| 2 0 0 | 43.23 | 9.0 |
| 1 1 2 | 44.75 | 8.5 |
| 2 0 1 | 45.00 | 17.5 |
| 2 0 2 | 50.03 | 32.9 |
| 2 0 3 | 57.69 | 8.9 |

Crystal structure
Unit cell a=4.8336 b=4.8336 c=7.4220 alpha=90.00 beta=90.00 gamma=120.00
Space group P6/mmm (No. 191)
One atom of each set of equivalent atoms:
Na 0.0000 0.0000 0.0000 (multiplicity 1)
Fe 0.0000 0.5000 0.5000 (multiplicity 3)
P 0.0000 0.0000 0.5000 (multiplicity 1)
P 0.3333 0.6667 0.2575 (multiplicity 4)

***

Diffraction record for TbGdW2C3. The X-ray powder pattern is calculated, not measured: it uses a GGA-PBE-relaxed structure and Cu Kα X-rays.

Largest 8 diffraction maxima, low angle first, 2θ = 10–90°:
| h k l | 2theta | I (rel.) |
| --- | --- | --- |
| 2 0 -2 | 31.21 | 32.5 |
| 4 0 0 | 32.64 | 41.1 |
| 0 0 2 | 33.84 | 25.3 |
| 1 1 1 | 34.41 | 100.0 |
| 3 1 -1 | 35.89 | 78.2 |
| 2 0 2 | 43.36 | 23.7 |
| 3 1 -3 | 55.42 | 24.0 |
| 8 0 -1 | 62.98 | 23.9 |

Crystal structure
Unit cell a=11.930 b=3.336 c=5.759 alpha=90.00 beta=113.08 gamma=90.00
Space group Cm (No. 8)
One atom of each set of equivalent atoms:
Tb 0.000 0.000 0.000 (multiplicity 2)
Gd 0.220 0.000 0.638 (multiplicity 2)
W 0.266 0.500 0.145 (multiplicity 2)
W 0.454 0.000 0.494 (multiplicity 2)
C 0.110 0.500 0.819 (multiplicity 2)
C 0.360 0.000 0.086 (multiplicity 2)
C 0.360 0.500 0.552 (multiplicity 2)

***

Diffraction record for Cu7Ag. The X-ray powder pattern is calculated, not measured: it uses a GGA-PBE-relaxed structure and Cu Kα X-rays.

Largest 8 diffraction maxima, low angle first, 2θ = 10–90°:
| h k l | 2theta | I (rel.) |
| --- | --- | --- |
| 0 2 2 | 42.29 | 100.0 |
| 2 2 0 | 42.56 | 99.0 |
| 2 0 2 | 49.05 | 63.3 |
| 0 4 0 | 50.08 | 29.9 |
| 2 4 2 | 72.71 | 35.6 |
| 2 2 4 | 86.91 | 21.2 |
| 4 2 2 | 87.47 | 21.5 |
| 0 6 2 | 88.67 | 10.6 |

Crystal structure
Unit cell a=5.229 b=7.286 c=5.278 alpha=90.00 beta=90.00 gamma=90.00
Space group Cmmm (No. 65)
One atom of each set of equivalent atoms:
Cu 0.000 0.000 0.000 (multiplicity 2)
Cu 0.000 0.000 0.500 (multiplicity 2)
Cu 0.000 0.500 0.000 (multiplicity 2)
Cu 0.250 0.250 0.239 (multiplicity 8)
Ag 0.000 0.500 0.500 (multiplicity 2)

***

Diffraction record for Dy5Er2Te2Ir2. The X-ray powder pattern is calculated, not measured: it uses a GGA-PBE-relaxed structure and Cu Kα X-rays.

Largest 8 diffraction maxima, low angle first, 2θ = 10–90°:
| h k l | 2theta | I (rel.) |
| --- | --- | --- |
| 0 2 0 | 11.27 | 22.5 |
| 1 1 2 | 30.11 | 36.3 |
| 0 3 3 | 33.16 | 43.2 |
| 1 4 1 | 33.63 | 100.0 |
| 1 3 2 | 34.26 | 46.3 |
| 1 0 3 | 36.54 | 22.5 |
| 1 2 3 | 38.35 | 26.3 |
| 2 0 0 | 46.22 | 32.4 |

Crystal structure
Unit cell a=3.929 b=15.706 c=9.462 alpha=90.00 beta=90.00 gamma=90.00
Space group Imm2 (No. 44)
One atom of each set of equivalent atoms:
Dy 0.000 0.000 0.000 (multiplicity 2)
Dy 0.000 0.132 0.582 (multiplicity 4)
Dy 0.000 0.315 0.372 (multiplicity 4)
Er 0.000 0.354 0.731 (multiplicity 4)
Te 0.000 0.000 0.337 (multiplicity 2)
Te 0.000 0.500 0.236 (multiplicity 2)
Ir 0.000 0.238 0.072 (multiplicity 4)

***

Diffraction record for TlSnHg3Te4. The X-ray powder pattern is calculated, not measured: it uses a GGA-PBE-relaxed structure and Cu Kα X-rays.

Largest 8 diffraction maxima, low angle first, 2θ = 10–90°:
| h k l | 2theta | I (rel.) |
| --- | --- | --- |
| 1 1 1 | 21.52 | 83.1 |
| 2 2 0 | 35.50 | 100.0 |
| 3 1 1 | 41.89 | 44.4 |
| 4 0 0 | 51.07 | 17.7 |
| 3 3 1 | 56.04 | 18.7 |
| 4 2 2 | 63.74 | 36.0 |
| 3 3 3 | 68.11 | 13.8 |
| 6 2 0 | 85.94 | 16.0 |

Crystal structure
Unit cell a=7.153 b=7.153 c=7.153 alpha=90.00 beta=90.00 gamma=90.00
Space group P-43m (No. 215)
One atom of each set of equivalent atoms:
Tl 0.000 0.000 0.000 (multiplicity 1)
Sn 0.500 0.500 0.500 (multiplicity 1)
Hg 0.000 0.500 0.500 (multiplicity 3)
Te 0.261 0.261 0.261 (multiplicity 4)

***

Diffraction record for TbErAg6. The X-ray powder pattern is calculated, not measured: it uses a GGA-PBE-relaxed structure and Cu Kα X-rays.

Largest 8 diffraction maxima, low angle first, 2θ = 10–90°:
| h k l | 2theta | I (rel.) |
| --- | --- | --- |
| 0 2 1 | 33.95 | 26.9 |
| 2 0 0 | 35.75 | 42.8 |
| 1 2 1 | 38.52 | 100.0 |
| 1 0 2 | 38.92 | 52.9 |
| 2 2 1 | 50.12 | 17.4 |
| 0 2 3 | 61.34 | 16.2 |
| 3 2 1 | 66.07 | 19.4 |
| 2 2 3 | 73.07 | 19.4 |

Crystal structure
Unit cell a=5.024 b=6.124 c=5.213 alpha=90.00 beta=90.00 gamma=90.00
Space group Pmm2 (No. 25)
One atom of each set of equivalent atoms:
Tb 0.000 0.000 0.000 (multiplicity 1)
Er 0.500 0.500 0.692 (multiplicity 1)
Ag 0.000 0.258 0.506 (multiplicity 2)
Ag 0.000 0.500 0.022 (multiplicity 1)
Ag 0.500 0.000 0.664 (multiplicity 1)
Ag 0.500 0.249 0.186 (multiplicity 2)

***

Diffraction record for NaNbCu2S4. The X-ray powder pattern is calculated, not measured: it uses a GGA-PBE-relaxed structure and Cu Kα X-rays.

Largest 8 diffraction maxima, low angle first, 2θ = 10–90°:
| h k l | 2theta | I (rel.) |
| --- | --- | --- |
| 0 0 1 | 13.20 | 100.0 |
| 1 0 0 | 16.05 | 30.6 |
| 1 1 1 | 26.41 | 25.0 |
| 2 0 1 | 35.15 | 15.0 |
| 2 0 2 | 42.41 | 40.8 |
| 2 2 0 | 46.51 | 17.9 |
| 2 2 1 | 48.57 | 13.5 |
| 2 0 3 | 52.69 | 16.6 |

Crystal structure
Unit cell a=5.522 b=5.522 c=6.706 alpha=90.00 beta=90.00 gamma=90.00
Space group P-42m (No. 111)
One atom of each set of equivalent atoms:
Na 0.000 0.000 0.000 (multiplicity 1)
Nb 0.000 0.000 0.500 (multiplicity 1)
Cu 0.000 0.500 0.500 (multiplicity 2)
S 0.245 0.245 0.305 (multiplicity 4)

***

Diffraction record for Rb3Bi2Pt3. The X-ray powder pattern is calculated, not measured: it uses a GGA-PBE-relaxed structure and Cu Kα X-rays.

Largest 8 diffraction maxima, low angle first, 2θ = 10–90°:
| h k l | 2theta | I (rel.) |
| --- | --- | --- |
| 0 0 3 | 11.70 | 100.0 |
| 0 1 2 | 18.72 | 95.7 |
| 1 1 0 | 29.65 | 44.3 |
| 1 0 7 | 32.52 | 58.8 |
| 0 2 1 | 34.60 | 56.5 |
| 0 2 4 | 37.96 | 99.3 |
| 1 1 6 | 38.19 | 83.7 |
| 2 0 8 | 47.35 | 53.3 |

Crystal structure
Unit cell a=6.0257 b=6.0257 c=22.6895 alpha=90.00 beta=90.00 gamma=120.00
Space group R-3m (No. 166, hexagonal axes)
One atom of each set of equivalent atoms:
Rb 0.0000 0.0000 0.0000 (multiplicity 3)
Rb 0.0000 0.0000 0.4236 (multiplicity 6)
Bi 0.0000 0.0000 0.2602 (multiplicity 6)
Pt 0.0000 0.5000 0.5000 (multiplicity 9)

***

Diffraction record for La2Pr2CBr5. The X-ray powder pattern is calculated, not measured: it uses a GGA-PBE-relaxed structure and Cu Kα X-rays.

Largest 8 diffraction maxima, low angle first, 2θ = 10–90°:
| h k l | 2theta | I (rel.) |
| --- | --- | --- |
| 0 0 1 | 10.74 | 33.2 |
| 6 0 0 | 29.74 | 48.0 |
| 3 1 1 | 30.19 | 22.4 |
| 1 1 -2 | 30.64 | 100.0 |
| 7 1 -2 | 43.04 | 29.4 |
| 5 1 2 | 43.42 | 31.4 |
| 0 2 0 | 45.13 | 18.7 |
| 6 2 0 | 54.98 | 18.2 |

Crystal structure
Unit cell a=18.567 b=4.018 c=8.487 alpha=90.00 beta=103.90 gamma=90.00
Space group C2/m (No. 12)
One atom of each set of equivalent atoms:
La 0.143 0.000 0.078 (multiplicity 4)
Pr 0.001 0.500 0.793 (multiplicity 4)
C 0.000 0.000 0.000 (multiplicity 2)
Br 0.000 0.000 0.500 (multiplicity 2)
Br 0.164 0.500 0.350 (multiplicity 4)
Br 0.170 0.500 0.824 (multiplicity 4)

***

Diffraction record for Re2HgO4. The X-ray powder pattern is calculated, not measured: it uses a GGA-PBE-relaxed structure and Cu Kα X-rays.

Largest 8 diffraction maxima, low angle first, 2θ = 10–90°:
| h k l | 2theta | I (rel.) |
| --- | --- | --- |
| 2 2 0 | 27.40 | 32.0 |
| 3 1 1 | 32.25 | 100.0 |
| 2 2 2 | 33.73 | 27.9 |
| 5 1 1 | 51.59 | 40.7 |
| 4 4 0 | 56.55 | 36.9 |
| 5 3 3 | 66.61 | 13.6 |
| 6 2 2 | 67.49 | 14.1 |
| 5 5 3 | 80.07 | 22.8 |

Crystal structure
Unit cell a=9.206 b=9.206 c=9.206 alpha=90.00 beta=90.00 gamma=90.00
Space group Fd-3m (No. 227, origin choice 2)
One atom of each set of equivalent atoms:
Re 0.000 0.000 0.000 (multiplicity 16)
Hg 0.125 0.125 0.625 (multiplicity 8)
O 0.026 0.026 0.224 (multiplicity 32)

***

Diffraction record for Li6BeMo. The X-ray powder pattern is calculated, not measured: it uses a GGA-PBE-relaxed structure and Cu Kα X-rays.

Largest 8 diffraction maxima, low angle first, 2θ = 10–90°:
| h k l | 2theta | I (rel.) |
| --- | --- | --- |
| 1 0 1 | 19.94 | 100.0 |
| 0 1 2 | 24.88 | 63.8 |
| 1 1 0 | 31.47 | 37.4 |
| 0 2 1 | 37.54 | 25.4 |
| 1 0 4 | 39.11 | 29.7 |
| 2 0 2 | 40.52 | 25.6 |
| 1 1 3 | 41.02 | 34.0 |
| 3 -2 2 | 52.19 | 24.6 |

Crystal structure
Unit cell a=5.6856 b=5.6856 c=10.4237 alpha=90.00 beta=90.00 gamma=120.00
Space group R-3 (No. 148, hexagonal axes)
One atom of each set of equivalent atoms:
Li 0.0389 0.2524 0.2457 (multiplicity 18)
Be 0.0000 0.0000 0.5000 (multiplicity 3)
Mo 0.0000 0.0000 0.0000 (multiplicity 3)

***

Diffraction record for LaTmSi2Mo2C. The X-ray powder pattern is calculated, not measured: it uses a GGA-PBE-relaxed structure and Cu Kα X-rays.

Largest 8 diffraction maxima, low angle first, 2θ = 10–90°:
| h k l | 2theta | I (rel.) |
| --- | --- | --- |
| 2 0 -2 | 24.52 | 21.9 |
| 1 1 0 | 24.94 | 23.8 |
| 2 0 1 | 31.14 | 43.9 |
| 4 0 -1 | 32.88 | 25.1 |
| 3 1 -1 | 33.32 | 89.5 |
| 1 1 -2 | 34.73 | 100.0 |
| 4 0 -3 | 39.23 | 30.2 |
| 0 2 0 | 46.80 | 26.3 |

Crystal structure
Unit cell a=11.232 b=3.882 c=7.281 alpha=90.00 beta=126.02 gamma=90.00
Space group Cm (No. 8)
One atom of each set of equivalent atoms:
La 0.000 0.000 0.000 (multiplicity 2)
Tm 0.350 0.500 0.406 (multiplicity 2)
Si 0.055 0.500 0.371 (multiplicity 2)
Si 0.290 0.000 0.031 (multiplicity 2)
Mo 0.126 0.500 0.777 (multiplicity 2)
Mo 0.215 0.000 0.614 (multiplicity 2)
C 0.417 0.000 0.681 (multiplicity 2)

***

Diffraction record for RbHg3PtS4. The X-ray powder pattern is calculated, not measured: it uses a GGA-PBE-relaxed structure and Cu Kα X-rays.

Largest 8 diffraction maxima, low angle first, 2θ = 10–90°:
| h k l | 2theta | I (rel.) |
| --- | --- | --- |
| 1 0 0 | 13.25 | 78.3 |
| 1 1 1 | 23.06 | 65.4 |
| 2 0 0 | 26.69 | 77.1 |
| 2 1 0 | 29.91 | 29.7 |
| 2 2 0 | 38.10 | 100.0 |
| 3 1 1 | 45.01 | 34.6 |
| 4 2 0 | 62.14 | 36.0 |
| 4 2 2 | 68.85 | 32.1 |

Crystal structure
Unit cell a=6.681 b=6.681 c=6.681 alpha=90.00 beta=90.00 gamma=90.00
Space group P-43m (No. 215)
One atom of each set of equivalent atoms:
Rb 0.000 0.000 0.000 (multiplicity 1)
Hg 0.000 0.500 0.500 (multiplicity 3)
Pt 0.500 0.500 0.500 (multiplicity 1)
S 0.295 0.295 0.295 (multiplicity 4)